Theoretical X-ray powder pattern
Compound: Sc2As2H
Radiation: Cu Ka
Structure: a structure optimized by DFT (PBE)
Neutral-atom scattering factors, no anomalous dispersion.

Crystal structure
```
data_Sc2As2H
_chemical_formula_sum 'Sc8 As8 H4'
_cell_length_a 3.8845
_cell_length_b 13.2629
_cell_length_c 6.7073
_cell_angle_alpha 90.00
_cell_angle_beta 90.00
_cell_angle_gamma 90.00
_symmetry_space_group_name_H-M 'C m c 21'
_symmetry_Int_Tables_number 36
_symmetry_space_group_name_Hall 'C 2c -2'
loop_
_atom_site_label
_atom_site_type_symbol
_atom_site_fract_x
_atom_site_fract_y
_atom_site_fract_z
_atom_site_occupancy
Sc1 Sc 0.0000 0.0488 0.0000 1
Sc2 Sc 0.0000 0.3415 0.8592 1
As1 As 0.0000 0.2967 0.4669 1
As2 As 0.0000 0.4488 0.2065 1
H1 H 0.0000 0.0937 0.3185 1
```

The 8 most intense peaks (10 to 80 degrees two-theta), low angle first:
- 23.87 deg, intensity 52.0, hkl 1 1 0
- 29.86 deg, intensity 56.0, hkl 0 2 2
- 33.49 deg, intensity 100.0, hkl 1 3 1
- 36.02 deg, intensity 49.0, hkl 1 1 2
- 41.00 deg, intensity 86.7, hkl 1 3 2
- 43.09 deg, intensity 37.9, hkl 0 6 1
- 43.46 deg, intensity 46.3, hkl 1 5 1
- 46.77 deg, intensity 43.0, hkl 2 0 0